(1)
This entry pairs a crystal structure of NaCaCeSbO6 with its theoretical PXRD pattern. Radiation: CuKα. Structure: a crystal structure in the Materials Project, relaxed with GGA-PBE.
Neutral-atom scattering factors, no anomalous dispersion.

Most intense lines, 10 to 90 degrees two-theta, in order of rising 2θ:
2θ (°)  I/Imax
21.19  73
30.15  100
43.16  38
48.56  31
53.54  40
62.68  22
66.96  14
71.11  17
79.14  7
86.95  21

Atomic structure:
Cell lengths 5.929, 5.929, 5.929 Å; angles 60.00, 60.00, 60.00 degrees
Positions (direct):
Na (0.000, 0.000, 0.000)
Ca (0.500, 0.500, 0.500)
Ce (0.250, 0.250, 0.250)
Sb (0.750, 0.750, 0.750)
O (0.512, 0.512, 0.988)
O (0.512, 0.988, 0.512)
O (0.512, 0.988, 0.988)
O (0.988, 0.512, 0.512)
O (0.988, 0.512, 0.988)
O (0.988, 0.988, 0.512)

(2)
This entry pairs a crystal structure of Mo2W2C3 with its theoretical PXRD pattern. Radiation: CuKα. Structure: a crystal structure in the Materials Project, relaxed with GGA-PBE.
Neutral-atom scattering factors, no anomalous dispersion.

Most intense lines, 10 to 90 degrees two-theta, in order of rising 2θ:
2θ (°)  I/Imax
19.08  19
34.02  43
35.02  18
38.70  24
38.84  27
39.09  100
49.54  13
62.37  18
64.21  18
76.53  14

Atomic structure:
Cell lengths 11.723, 2.949, 5.175 Å; angles 90.00, 115.95, 90.00 degrees
Positions (direct):
Mo (0.123, 0.000, 0.456)
Mo (0.377, 0.500, 0.544)
Mo (0.623, 0.500, 0.456)
Mo (0.877, 0.000, 0.544)
W (0.123, 0.500, 0.957)
W (0.377, 0.000, 0.043)
W (0.623, 0.000, 0.957)
W (0.877, 0.500, 0.043)
C (0.000, 0.000, 0.000)
C (0.246, 0.500, 0.748)
C (0.254, 0.000, 0.252)
C (0.500, 0.500, 0.000)
C (0.746, 0.000, 0.748)
C (0.754, 0.500, 0.252)

(3)
This entry pairs a crystal structure of LuBi3O6 with its theoretical PXRD pattern. Radiation: CuKα. Structure: a crystal structure in the Materials Project, relaxed with GGA-PBE.
Neutral-atom scattering factors, no anomalous dispersion.

Most intense lines, 10 to 90 degrees two-theta, in order of rising 2θ:
2θ (°)  I/Imax
23.46  30
25.66  26
28.05  100
29.43  37
31.24  81
40.34  17
41.86  27
47.53  36
51.46  19
57.98  21

Atomic structure:
Cell lengths 6.967, 6.967, 6.967 Å; angles 93.18, 93.18, 93.18 degrees
Positions (direct):
Lu (0.000, 0.000, 0.000)
Lu (0.500, 0.500, 0.500)
Bi (0.054, 0.571, 0.751)
Bi (0.249, 0.946, 0.429)
Bi (0.429, 0.249, 0.946)
Bi (0.571, 0.751, 0.054)
Bi (0.751, 0.054, 0.571)
Bi (0.946, 0.429, 0.249)
O (0.028, 0.902, 0.694)
O (0.098, 0.306, 0.972)
O (0.196, 0.567, 0.428)
O (0.306, 0.972, 0.098)
O (0.428, 0.196, 0.567)
O (0.433, 0.572, 0.804)
O (0.567, 0.428, 0.196)
O (0.572, 0.804, 0.433)
O (0.694, 0.028, 0.902)
O (0.804, 0.433, 0.572)
O (0.902, 0.694, 0.028)
O (0.972, 0.098, 0.306)

(4)
This entry pairs a crystal structure of BaZnO3 with its theoretical PXRD pattern. Radiation: CuKα. Structure: a crystal structure in the Materials Project, relaxed with GGA-PBE.
Neutral-atom scattering factors, no anomalous dispersion.

Most intense lines, 10 to 90 degrees two-theta, in order of rising 2θ:
2θ (°)  I/Imax
21.60  6
30.73  100
37.87  13
44.01  33
54.63  40
64.00  20
72.66  17
76.83  4
80.93  7
89.01  21

Atomic structure:
Cell lengths 4.115, 4.115, 4.115 Å; angles 90.00, 90.00, 90.00 degrees
Positions (direct):
Ba (0.000, 0.000, 0.000)
Zn (0.500, 0.500, 0.500)
O (0.000, 0.500, 0.500)
O (0.500, 0.000, 0.500)
O (0.500, 0.500, 0.000)

What is the formula in the second record? Mo2W2C3